No. 1
Starting from a crystal structure in the Materials Project, relaxed with PBE, the powder diffractogram of LaNdCuO4 was calculated for Cu Kα (λ = 1.5418 Å).

Most intense lines, 10 to 90 degrees two-theta, in order of rising 2θ:
2θ/deg, I (rel.)
24.4, 45.3
27.5, 23.4
31.2, 97.5
31.3, 100.0
33.0, 64.4
33.5, 64.5
42.0, 22.5
43.9, 25.9
47.8, 62.6
58.6, 34.0

Structure:
Unit cell a=12.9918 b=5.3429 c=5.4224 alpha=90.00 beta=90.27 gamma=90.00
Space group C2/m (No. 12)
Asymmetric unit:
La  0.1397  0.0000  0.4904
Nd  0.1371  0.5000  0.0136
Cu  0.0000  0.0000  0.0000
Cu  0.0000  0.5000  0.5000
O  0.0086  0.2527  0.7539
O  0.1846  0.5000  0.4571
O  0.1864  0.0000  0.0385


No. 2
Starting from a crystal structure in the Materials Project, relaxed with PBE, the powder diffractogram of LaNdCuO4 was calculated for Cu Kα (λ = 1.5418 Å).

Most intense lines, 10 to 90 degrees two-theta, in order of rising 2θ:
2θ/deg, I (rel.)
23.4, 16.5
31.0, 100.0
31.7, 33.1
43.2, 17.4
45.5, 25.8
54.7, 15.2
56.1, 36.7
64.7, 9.1
66.2, 7.8
75.3, 11.8

Structure:
Unit cell a=3.9906 b=3.9906 c=12.5080 alpha=90.00 beta=90.00 gamma=90.00
Space group I4mm (No. 107)
Asymmetric unit:
La  0.0000  0.0000  0.0000
Nd  0.0000  0.0000  0.2997
Cu  0.0000  0.0000  0.6518
O  0.0000  0.5000  0.1521
O  0.0000  0.5000  0.3978